The following is a simulated powder diffractogram of Li6GaAu2. It was derived from a PBE-relaxed structure, using a wavelength of 1.5418 Å.

Structure:
a = 4.5417 Å, b = 4.5417 Å, c = 26.7293 Å
α = 90.00°, β = 90.00°, γ = 120.00°
Space group R-3m (No. 166, hexagonal axes)
Asymmetric unit:
Li1 0.0000 0.0000 0.0842 (multiplicity 6)
Li2 0.0000 0.0000 0.1992 (multiplicity 6)
Li3 0.0000 0.0000 0.3063 (multiplicity 6)
Ga1 0.0000 0.0000 0.5000 (multiplicity 3)
Au1 0.0000 0.0000 0.4055 (multiplicity 6)

Peak list (12 most intense, 2θ = 5–70°, by angle)
4.455 Å, intensity 24.4, (0 0 6)
3.891 Å, intensity 100.0, (1 0 1)
3.773 Å, intensity 26.7, (0 1 2)
3.390 Å, intensity 20.6, (1 0 4)
3.168 Å, intensity 36.6, (0 1 5)
2.271 Å, intensity 39.7, (1 1 0)
2.211 Å, intensity 32.6, (1 0 10)
2.067 Å, intensity 24.6, (0 1 11)
2.023 Å, intensity 19.1, (1 1 6)
1.961 Å, intensity 15.9, (0 2 1)
1.804 Å, intensity 14.5, (1 1 9)
1.484 Å, intensity 13.0, (2 1 1)

The following is a simulated powder diffractogram of LiGa2Au5. It was derived from a PBE-relaxed structure, using a wavelength of 1.5418 Å.

Structure:
a = 4.493 Å, b = 15.762 Å, c = 4.578 Å
α = 90.00°, β = 118.53°, γ = 90.00°
Space group P2_1/m (No. 11)
Asymmetric unit:
Li1 0.192 0.250 0.411 (multiplicity 2)
Ga1 0.088 0.585 0.165 (multiplicity 4)
Au1 0.150 0.750 0.263 (multiplicity 2)
Au2 0.241 0.064 0.486 (multiplicity 4)
Au3 0.455 0.657 0.890 (multiplicity 4)

Peak list (12 most intense, 2θ = 5–70°, by angle)
3.583 Å, intensity 59.5, (0 2 1)
3.156 Å, intensity 71.0, (1 3 0)
3.130 Å, intensity 59.8, (1 3 -1)
2.771 Å, intensity 31.2, (1 4 -1)
2.481 Å, intensity 45.0, (0 5 1)
2.292 Å, intensity 72.2, (1 1 1)
2.264 Å, intensity 70.8, (1 1 -2)
2.246 Å, intensity 100.0, (2 0 -1)
2.199 Å, intensity 45.5, (0 6 1)
2.187 Å, intensity 54.0, (1 6 0)
2.178 Å, intensity 56.4, (1 6 -1)
1.577 Å, intensity 33.2, (0 10 0)

The following is a simulated powder diffractogram of Li5GaAu4. It was derived from a PBE-relaxed structure, using a wavelength of 1.5418 Å.

Structure:
a = 13.104 Å, b = 4.485 Å, c = 5.476 Å
α = 90.00°, β = 105.23°, γ = 90.00°
Space group C2/m (No. 12)
Asymmetric unit:
Li1 0.000 0.000 0.000 (multiplicity 2)
Li2 0.105 0.500 0.873 (multiplicity 4)
Li3 0.204 0.000 0.310 (multiplicity 4)
Ga1 0.000 0.000 0.500 (multiplicity 2)
Au1 0.096 0.500 0.358 (multiplicity 4)
Au2 0.201 0.000 0.806 (multiplicity 4)

Peak list (12 most intense, 2θ = 5–70°, by angle)
5.284 Å, intensity 11.2, (0 0 1)
3.614 Å, intensity 16.5, (2 0 1)
3.452 Å, intensity 31.3, (1 1 -1)
3.168 Å, intensity 100.0, (1 1 1)
3.094 Å, intensity 48.5, (4 0 -1)
2.908 Å, intensity 15.6, (3 1 -1)
2.240 Å, intensity 61.1, (0 2 0)
2.224 Å, intensity 63.0, (3 1 -2)
2.203 Å, intensity 62.2, (5 1 0)
1.816 Å, intensity 21.7, (4 2 -1)
1.584 Å, intensity 19.2, (2 2 2)
1.415 Å, intensity 13.5, (2 2 -3)

The following is a simulated powder diffractogram of LiMg2Ga2Au2. It was derived from a PBE-relaxed structure, using a wavelength of 1.5418 Å.

Structure:
a = 4.4745 Å, b = 4.4745 Å, c = 22.2234 Å
α = 90.00°, β = 90.00°, γ = 120.00°
Space group R-3m (No. 166, hexagonal axes)
Asymmetric unit:
Li1 0.0000 0.0000 0.0000 (multiplicity 3)
Mg1 0.0000 0.0000 0.1290 (multiplicity 6)
Ga1 0.0000 0.0000 0.3855 (multiplicity 6)
Au1 0.0000 0.0000 0.2568 (multiplicity 6)

Peak list (12 most intense, 2θ = 5–70°, by angle)
7.408 Å, intensity 11.3, (0 0 3)
3.704 Å, intensity 45.3, (0 0 6)
3.659 Å, intensity 100.0, (0 1 2)
3.178 Å, intensity 20.4, (1 0 4)
2.258 Å, intensity 62.5, (0 1 8)
2.237 Å, intensity 70.8, (1 1 0)
1.928 Å, intensity 10.9, (1 0 10)
1.915 Å, intensity 45.3, (1 1 6)
1.909 Å, intensity 17.2, (2 0 2)
1.658 Å, intensity 10.4, (1 1 9)
1.589 Å, intensity 20.8, (2 0 8)
1.452 Å, intensity 14.3, (1 2 2)

The following is a simulated powder diffractogram of RbLi2GaAu. It was derived from a PBE-relaxed structure, using a wavelength of 1.5418 Å.

Structure:
a = 5.280 Å, b = 5.280 Å, c = 4.899 Å
α = 90.00°, β = 90.00°, γ = 90.00°
Space group P4/mmm (No. 123)
Asymmetric unit:
Rb1 0.000 0.000 0.000 (multiplicity 1)
Li1 0.000 0.500 0.500 (multiplicity 2)
Ga1 0.500 0.500 0.000 (multiplicity 1)
Au1 0.500 0.500 0.500 (multiplicity 1)

Peak list (12 most intense, 2θ = 5–70°, by angle)
5.280 Å, intensity 61.6, (1 0 0)
3.734 Å, intensity 100.0, (1 1 0)
3.591 Å, intensity 66.5, (1 0 1)
2.640 Å, intensity 45.8, (2 0 0)
2.449 Å, intensity 18.6, (0 0 2)
2.361 Å, intensity 17.1, (2 1 0)
2.127 Å, intensity 32.5, (2 1 1)
2.048 Å, intensity 39.2, (1 1 2)
1.867 Å, intensity 16.5, (2 2 0)
1.796 Å, intensity 29.1, (2 0 2)
1.670 Å, intensity 20.5, (3 1 0)
1.380 Å, intensity 21.8, (3 1 2)

The following is a simulated powder diffractogram of LiTbGa2Au2. It was derived from a PBE-relaxed structure, using a wavelength of 1.5418 Å.

Structure:
a = 4.5036 Å, b = 4.5036 Å, c = 6.4913 Å
α = 90.00°, β = 90.00°, γ = 120.00°
Space group P-3m1 (No. 164)
Asymmetric unit:
Li1 0.0000 0.0000 0.0000 (multiplicity 1)
Tb1 0.0000 0.0000 0.5000 (multiplicity 1)
Ga1 0.3333 0.6667 0.2081 (multiplicity 2)
Au1 0.3333 0.6667 0.7722 (multiplicity 2)

Peak list (12 most intense, 2θ = 5–70°, by angle)
3.900 Å, intensity 9.9, (1 0 0)
3.343 Å, intensity 100.0, (0 1 1)
3.246 Å, intensity 21.4, (0 0 2)
2.495 Å, intensity 93.7, (1 0 2)
2.252 Å, intensity 100.0, (1 1 0)
2.164 Å, intensity 10.4, (0 0 3)
1.892 Å, intensity 12.3, (1 0 3)
1.868 Å, intensity 20.1, (2 0 1)
1.850 Å, intensity 26.6, (1 1 2)
1.672 Å, intensity 28.0, (0 2 2)
1.560 Å, intensity 22.1, (1 1 3)
1.438 Å, intensity 17.4, (1 2 1)

The following is a simulated powder diffractogram of Li2YGaAu2. It was derived from a PBE-relaxed structure, using a wavelength of 1.5418 Å.

Structure:
a = 4.4812 Å, b = 4.4812 Å, c = 6.3390 Å
α = 90.00°, β = 90.00°, γ = 120.00°
Space group P-3m1 (No. 164)
Asymmetric unit:
Li1 0.3333 0.6667 0.1743 (multiplicity 2)
Y1 0.0000 0.0000 0.5000 (multiplicity 1)
Ga1 0.0000 0.0000 0.0000 (multiplicity 1)
Au1 0.3333 0.6667 0.7610 (multiplicity 2)

Peak list (12 most intense, 2θ = 5–70°, by angle)
3.881 Å, intensity 0.8, (1 0 0)
3.310 Å, intensity 100.0, (0 1 1)
3.170 Å, intensity 7.1, (0 0 2)
2.455 Å, intensity 53.8, (1 0 2)
2.241 Å, intensity 50.5, (1 1 0)
1.856 Å, intensity 40.1, (2 0 1)
1.830 Å, intensity 9.6, (1 1 2)
1.655 Å, intensity 16.1, (0 2 2)
1.585 Å, intensity 5.1, (0 0 4)
1.537 Å, intensity 1.1, (1 1 3)
1.467 Å, intensity 0.9, (1 0 4)
1.429 Å, intensity 25.9, (1 2 1)

The following is a simulated powder diffractogram of LuThGaAu. It was derived from a PBE-relaxed structure, using a wavelength of 1.5418 Å.

Structure:
a = 7.287 Å, b = 7.287 Å, c = 7.287 Å
α = 90.00°, β = 90.00°, γ = 90.00°
Space group F-43m (No. 216)
Asymmetric unit:
Lu1 0.000 0.000 0.000 (multiplicity 4)
Th1 0.000 0.000 0.500 (multiplicity 4)
Ga1 0.250 0.250 0.250 (multiplicity 4)
Au1 0.250 0.250 0.750 (multiplicity 4)

Peak list (10 most intense, 2θ = 5–70°, by angle)
4.207 Å, intensity 9.0, (1 1 1)
3.643 Å, intensity 4.2, (2 0 0)
2.576 Å, intensity 100.0, (2 2 0)
2.197 Å, intensity 5.2, (3 1 1)
2.104 Å, intensity 1.3, (2 2 2)
1.822 Å, intensity 18.1, (4 0 0)
1.672 Å, intensity 2.3, (3 3 1)
1.629 Å, intensity 1.8, (4 2 0)
1.487 Å, intensity 37.6, (4 2 2)
1.402 Å, intensity 1.8, (5 1 1)

The following is a simulated powder diffractogram of Mg7GaAu4. It was derived from a PBE-relaxed structure, using a wavelength of 1.5418 Å.

Structure:
a = 13.204 Å, b = 4.910 Å, c = 9.726 Å
α = 90.00°, β = 127.04°, γ = 90.00°
Space group C2/m (No. 12)
Asymmetric unit:
Mg1 0.000 0.000 0.000 (multiplicity 2)
Mg2 0.071 0.500 0.337 (multiplicity 4)
Mg3 0.161 0.000 0.598 (multiplicity 4)
Mg4 0.216 0.500 0.870 (multiplicity 4)
Ga1 0.000 0.500 0.000 (multiplicity 2)
Au1 0.069 0.000 0.779 (multiplicity 4)
Au2 0.207 0.000 0.343 (multiplicity 4)

Peak list (12 most intense, 2θ = 5–70°, by angle)
4.451 Å, intensity 60.2, (1 1 0)
3.882 Å, intensity 27.7, (0 0 2)
3.493 Å, intensity 30.4, (2 0 1)
3.382 Å, intensity 100.0, (1 1 -2)
3.246 Å, intensity 43.9, (3 1 -1)
2.928 Å, intensity 27.0, (4 0 -3)
2.455 Å, intensity 49.6, (0 2 0)
2.336 Å, intensity 61.3, (3 1 1)
2.333 Å, intensity 38.1, (2 0 -4)
2.265 Å, intensity 55.3, (5 1 -3)
2.185 Å, intensity 30.9, (5 1 -1)
1.691 Å, intensity 28.4, (2 2 -4)

The following is a simulated powder diffractogram of MgGa3Au2. It was derived from a PBE-relaxed structure, using a wavelength of 1.5418 Å.

Structure:
a = 13.749 Å, b = 8.551 Å, c = 4.030 Å
α = 90.00°, β = 106.51°, γ = 90.00°
Space group C2/m (No. 12)
Asymmetric unit:
Mg1 0.119 0.000 0.116 (multiplicity 4)
Ga1 0.000 0.356 0.000 (multiplicity 4)
Ga2 0.180 0.297 0.682 (multiplicity 8)
Au1 0.000 0.166 0.500 (multiplicity 4)
Au2 0.222 0.500 0.224 (multiplicity 4)

Peak list (12 most intense, 2θ = 5–70°, by angle)
3.908 Å, intensity 44.4, (3 1 0)
3.645 Å, intensity 87.0, (1 1 -1)
3.587 Å, intensity 54.0, (2 2 0)
3.295 Å, intensity 61.9, (4 0 0)
2.862 Å, intensity 43.8, (2 2 -1)
2.455 Å, intensity 45.4, (3 1 1)
2.434 Å, intensity 53.7, (5 1 -1)
2.198 Å, intensity 100.0, (1 3 1)
2.191 Å, intensity 82.5, (3 3 -1)
2.033 Å, intensity 36.0, (2 4 0)
2.015 Å, intensity 48.2, (2 0 -2)
1.954 Å, intensity 43.1, (6 2 0)

The following is a simulated powder diffractogram of Mg3Ga3Au2. It was derived from a PBE-relaxed structure, using a wavelength of 1.5418 Å.

Structure:
a = 4.279 Å, b = 9.896 Å, c = 14.573 Å
α = 90.00°, β = 90.00°, γ = 90.00°
Space group Cmcm (No. 63)
Asymmetric unit:
Mg1 0.000 0.072 0.117 (multiplicity 8)
Mg2 0.000 0.338 0.250 (multiplicity 4)
Ga1 0.000 0.381 0.035 (multiplicity 8)
Ga2 0.000 0.386 0.750 (multiplicity 4)
Au1 0.000 0.215 0.614 (multiplicity 8)

Peak list (12 most intense, 2θ = 5–70°, by angle)
4.948 Å, intensity 79.1, (0 2 0)
3.792 Å, intensity 100.0, (1 1 1)
3.466 Å, intensity 43.0, (0 2 3)
3.054 Å, intensity 47.2, (1 1 3)
2.934 Å, intensity 45.7, (0 2 4)
2.671 Å, intensity 49.5, (1 1 4)
2.301 Å, intensity 87.3, (1 3 3)
2.140 Å, intensity 45.1, (2 0 0)
2.123 Å, intensity 43.7, (1 3 4)
2.047 Å, intensity 27.6, (0 4 4)
1.839 Å, intensity 53.8, (1 1 7)
1.796 Å, intensity 27.1, (1 5 0)

The following is a simulated powder diffractogram of Mg3Ga2Au4. It was derived from a PBE-relaxed structure, using a wavelength of 1.5418 Å.

Structure:
a = 8.010 Å, b = 4.622 Å, c = 9.471 Å
α = 90.00°, β = 104.42°, γ = 90.00°
Space group C2/m (No. 12)
Asymmetric unit:
Mg1 0.000 0.000 0.000 (multiplicity 2)
Mg2 0.104 0.500 0.783 (multiplicity 4)
Ga1 0.223 0.000 0.609 (multiplicity 4)
Au1 0.091 0.000 0.326 (multiplicity 4)
Au2 0.195 0.500 0.091 (multiplicity 4)

Peak list (12 most intense, 2θ = 5–70°, by angle)
3.971 Å, intensity 11.9, (1 1 0)
3.826 Å, intensity 29.0, (1 1 -1)
3.291 Å, intensity 28.1, (2 0 1)
3.211 Å, intensity 46.9, (1 1 -2)
3.058 Å, intensity 11.5, (0 0 3)
2.311 Å, intensity 100.0, (0 2 0)
2.286 Å, intensity 60.7, (1 1 3)
2.232 Å, intensity 24.5, (2 0 -4)
1.891 Å, intensity 12.5, (2 2 1)
1.645 Å, intensity 11.1, (4 0 2)
1.605 Å, intensity 24.4, (2 2 -4)
1.457 Å, intensity 9.7, (1 3 -2)